Diffraction record for Pr2SmDy2Ho4. The X-ray diffraction stick pattern is simulated, not measured: it uses a cell relaxed with PBE and Cu Kα (λ = 1.5418 Å).
Peak positions follow from Bragg's law for the DFT cell and can differ from measured ones.

Main lines, in order of rising 2θ (5° ≤ 2θ ≤ 70°):
2θ (°)  Rel. int.  (hkl)
30.58  1000  2 1 1
35.46  506  1 1 3
50.95  121  0 1 -4
51.05  240  3 0 3
60.60  180  1 3 4
60.71  250  4 0 1
63.59  62  0 4 2
63.75  62  4 2 2

Structure:
```
data_Pr2SmDy2Ho4
_chemical_formula_sum 'Pr2 Sm1 Dy2 Ho4'
_cell_length_a 6.1949
_cell_length_b 6.1991
_cell_length_c 8.0109
_cell_angle_alpha 82.51
_cell_angle_beta 75.18
_cell_angle_gamma 80.47
_symmetry_space_group_name_H-M 'P -1'
_symmetry_Int_Tables_number 2
_symmetry_space_group_name_Hall '-P 1'
loop_
_atom_site_label
_atom_site_type_symbol
_atom_site_fract_x
_atom_site_fract_y
_atom_site_fract_z
Pr1 Pr 0.1672 0.3330 0.3321
Sm1 Sm 0.5000 0.0000 0.0000
Dy1 Dy 0.3908 0.7775 0.4447
Ho1 Ho 0.0573 0.1107 0.7799
Ho2 Ho 0.2763 0.5558 0.8887
```